For HoMo6Se8, the GGA-PBE geometry in the Materials Project gives the computed X-ray diffraction stick pattern in this record (CuKα).

Top 6 peaks for 10 to 90 degrees two-theta, by angle:
| 2theta | I/Imax |
| --- | --- |
| 32.4 | 47 |
| 32.5 | 48 |
| 39.5 | 43 |
| 40.1 | 85 |
| 42.0 | 57 |
| 44.4 | 100 |

Atomic structure:
```
HoMo6Se8
1.0
4.766 2.752 3.959
-4.766 2.752 3.959
0.000 -5.503 3.959
Ho Mo Se
1 6 8
direct
0.000 0.000 0.000
0.233 0.423 0.558
0.423 0.558 0.233
0.442 0.767 0.577
0.558 0.233 0.423
0.577 0.442 0.767
0.767 0.577 0.442
0.123 0.757 0.370
0.236 0.236 0.236
0.243 0.630 0.877
0.370 0.123 0.757
0.630 0.877 0.243
0.757 0.370 0.123
0.764 0.764 0.764
0.877 0.243 0.630
```